Diffraction record for Na3ZnInP2SO12. The powder XRD pattern is simulated, not measured: it uses the PBE geometry in the Materials Project and copper Kα.

Cell and atoms:
a b c (Å): 15.689 9.053 9.057
angles (deg): 90.00 124.55 90.00
Space group Cc (No. 9)
One atom of each set of equivalent atoms:
Na 0.000 0.065 0.000 x4
Na 0.074 0.236 0.750 x4
Na 0.138 0.431 0.499 x4
Zn 0.215 0.242 0.189 x4
In 0.402 0.251 0.775 x4
P 0.154 0.100 0.469 x4
P 0.307 0.449 0.980 x4
S 0.460 0.099 0.484 x4
O 0.047 0.330 0.991 x4
O 0.063 0.180 0.466 x4
O 0.146 0.068 0.988 x4
O 0.148 0.133 0.295 x4
O 0.231 0.357 0.001 x4
O 0.240 0.451 0.313 x4
O 0.252 0.171 0.636 x4
O 0.363 0.162 0.331 x4
O 0.382 0.456 0.651 x4
O 0.386 0.352 0.971 x4
O 0.468 0.064 0.970 x4
O 0.469 0.122 0.657 x4

Peak list (8 most intense, 10 to 90 degrees two-theta, in order of rising 2θ)
- (1 1 -1), 13.83°, intensity 37
- (1 1 1), 19.43°, intensity 40
- (2 0 -2), 19.61°, intensity 100
- (3 1 1), 30.90°, intensity 46
- (0 2 2), 31.07°, intensity 52
- (3 1 -3), 31.23°, intensity 47
- (6 0 -2), 34.28°, intensity 31
- (3 3 -1), 34.32°, intensity 55